# 1
Structure and computed powder X-ray diffraction pattern of NdMgH6Pd4 (a DFT-relaxed cell (GGA-PBE, Alexandria); λ = 1.5418 Å (Cu Kα)).

Cell and atoms:
a b c (Å): 4.751 4.751 6.934
angles (deg): 90.00 90.00 120.00
Fractional coordinates of all 12 atoms:
Nd 0.000 0.000 0.000
Mg 0.000 0.000 0.500
H 0.000 0.500 0.145
H 0.000 0.500 0.855
H 0.500 0.000 0.145
H 0.500 0.000 0.855
H 0.500 0.500 0.145
H 0.500 0.500 0.855
Pd 0.333 0.667 0.305
Pd 0.333 0.667 0.695
Pd 0.667 0.333 0.305
Pd 0.667 0.333 0.695

Largest 10 diffraction maxima, low angle first, 2θ = 15–90°:
- 25.17 deg, I 58
- 33.81 deg, I 87
- 37.87 deg, I 100
- 38.97 deg, I 20
- 46.02 deg, I 12
- 51.67 deg, I 25
- 55.47 deg, I 44
- 65.82 deg, I 24
- 68.40 deg, I 17
- 81.63 deg, I 14



# 2
Structure and computed powder X-ray diffraction pattern of Ce2CoB10 (a DFT-relaxed cell (GGA-PBE, Alexandria); λ = 1.5418 Å (Cu Kα)).

Cell and atoms:
a b c (Å): 5.583 11.140 4.157
angles (deg): 90.00 90.00 90.00
Fractional coordinates of all 26 atoms:
Ce 0.197 0.135 0.000
Ce 0.303 0.635 0.000
Ce 0.697 0.365 0.000
Ce 0.803 0.865 0.000
Co 0.000 0.500 0.500
Co 0.500 0.000 0.500
B 0.033 0.313 0.500
B 0.127 0.960 0.500
B 0.155 0.802 0.500
B 0.201 0.387 0.200
B 0.201 0.387 0.800
B 0.299 0.887 0.200
B 0.299 0.887 0.800
B 0.345 0.302 0.500
B 0.373 0.460 0.500
B 0.467 0.813 0.500
B 0.533 0.187 0.500
B 0.627 0.540 0.500
B 0.655 0.698 0.500
B 0.701 0.113 0.200
B 0.701 0.113 0.800
B 0.799 0.613 0.200
B 0.799 0.613 0.800
B 0.845 0.198 0.500
B 0.873 0.040 0.500
B 0.967 0.687 0.500

Largest 10 diffraction maxima, low angle first, 2θ = 15–90°:
- 21.37 deg, I 26
- 22.55 deg, I 67
- 27.93 deg, I 24
- 31.26 deg, I 100
- 32.11 deg, I 26
- 38.90 deg, I 82
- 43.54 deg, I 18
- 46.04 deg, I 20
- 49.60 deg, I 37
- 56.73 deg, I 16



# 3
Structure and computed powder X-ray diffraction pattern of Rb2Np2USe6 (a DFT-relaxed cell (GGA-PBE, Alexandria); λ = 1.5418 Å (Cu Kα)).

Cell and atoms:
a b c (Å): 7.285 7.285 8.542
angles (deg): 98.23 98.23 119.92
Fractional coordinates of all 11 atoms:
Rb 0.167 0.833 0.000
Rb 0.833 0.167 0.000
Np 0.334 0.666 0.500
Np 0.666 0.334 0.500
U 0.000 0.000 0.500
Se 0.064 0.394 0.691
Se 0.265 0.265 0.309
Se 0.394 0.064 0.691
Se 0.606 0.936 0.309
Se 0.735 0.735 0.691
Se 0.936 0.606 0.309

Largest 10 diffraction maxima, low angle first, 2θ = 15–90°:
- 24.70 deg, I 17
- 25.50 deg, I 12
- 28.48 deg, I 100
- 35.52 deg, I 26
- 38.34 deg, I 35
- 42.99 deg, I 36
- 44.47 deg, I 27
- 47.78 deg, I 14
- 52.38 deg, I 19
- 63.41 deg, I 11



# 4
Structure and computed powder X-ray diffraction pattern of K14Pu2O9 (a DFT-relaxed cell (GGA-PBE, Alexandria); λ = 1.5418 Å (Cu Kα)).

Cell and atoms:
a b c (Å): 7.922 7.922 11.004
angles (deg): 90.00 90.00 120.00
Fractional coordinates of all 25 atoms:
K 0.000 0.000 0.244
K 0.000 0.000 0.756
K 0.051 0.683 0.910
K 0.104 0.385 0.593
K 0.282 0.896 0.593
K 0.317 0.368 0.910
K 0.368 0.051 0.090
K 0.385 0.282 0.407
K 0.615 0.718 0.593
K 0.632 0.949 0.910
K 0.683 0.632 0.090
K 0.718 0.104 0.407
K 0.896 0.615 0.407
K 0.949 0.317 0.090
Pu 0.333 0.667 0.274
Pu 0.667 0.333 0.726
O 0.000 0.000 0.000
O 0.113 0.377 0.340
O 0.264 0.887 0.340
O 0.333 0.667 0.077
O 0.377 0.264 0.660
O 0.623 0.736 0.340
O 0.667 0.333 0.923
O 0.736 0.113 0.660
O 0.887 0.623 0.660

Largest 10 diffraction maxima, low angle first, 2θ = 15–90°:
- 15.22 deg, I 100
- 22.45 deg, I 19
- 27.23 deg, I 41
- 27.58 deg, I 36
- 27.75 deg, I 66
- 35.57 deg, I 44
- 39.40 deg, I 25
- 39.90 deg, I 31
- 48.56 deg, I 12
- 54.32 deg, I 14



# 5
Structure and computed powder X-ray diffraction pattern of LaPr3Pd8 (a DFT-relaxed cell (GGA-PBE, Alexandria); λ = 1.5418 Å (Cu Kα)).

Cell and atoms:
a b c (Å): 5.565 5.565 9.081
angles (deg): 90.00 90.00 120.00
Fractional coordinates of all 12 atoms:
La 0.000 0.000 0.000
Pr 0.000 0.000 0.373
Pr 0.667 0.333 0.499
Pr 0.667 0.333 0.870
Pd 0.166 0.331 0.685
Pd 0.166 0.834 0.685
Pd 0.333 0.667 0.435
Pd 0.333 0.667 0.935
Pd 0.501 0.003 0.186
Pd 0.501 0.499 0.186
Pd 0.669 0.834 0.685
Pd 0.997 0.499 0.186

Largest 10 diffraction maxima, low angle first, 2θ = 15–90°:
- 32.17 deg, I 36
- 35.00 deg, I 77
- 37.92 deg, I 100
- 38.66 deg, I 79
- 39.70 deg, I 15
- 59.19 deg, I 32
- 61.20 deg, I 29
- 64.21 deg, I 31
- 67.29 deg, I 27
- 78.16 deg, I 15



# 6
Structure and computed powder X-ray diffraction pattern of Y4AgPd2 (a DFT-relaxed cell (GGA-PBE, Alexandria); λ = 1.5418 Å (Cu Kα)).

Cell and atoms:
a b c (Å): 8.382 8.382 7.108
angles (deg): 107.45 107.45 119.00
Fractional coordinates of all 14 atoms:
Y 0.024 0.976 0.500
Y 0.099 0.459 0.852
Y 0.353 0.827 0.680
Y 0.459 0.099 0.352
Y 0.496 0.563 0.349
Y 0.563 0.496 0.849
Y 0.827 0.353 0.180
Y 0.976 0.024 0.000
Ag 0.626 0.890 0.161
Ag 0.890 0.626 0.661
Pd 0.035 0.719 0.144
Pd 0.176 0.364 0.463
Pd 0.364 0.176 0.963
Pd 0.719 0.035 0.644

Largest 10 diffraction maxima, low angle first, 2θ = 15–90°:
- 29.23 deg, I 44
- 31.60 deg, I 63
- 31.76 deg, I 100
- 33.05 deg, I 68
- 33.20 deg, I 51
- 33.67 deg, I 87
- 36.10 deg, I 87
- 40.09 deg, I 51
- 41.13 deg, I 47
- 45.98 deg, I 36



Repeat the fourth record exactly.
Structure and computed powder X-ray diffraction pattern of K14Pu2O9 (a DFT-relaxed cell (GGA-PBE, Alexandria); λ = 1.5418 Å (Cu Kα)).

Cell and atoms:
a b c (Å): 7.922 7.922 11.004
angles (deg): 90.00 90.00 120.00
Fractional coordinates of all 25 atoms:
K 0.000 0.000 0.244
K 0.000 0.000 0.756
K 0.051 0.683 0.910
K 0.104 0.385 0.593
K 0.282 0.896 0.593
K 0.317 0.368 0.910
K 0.368 0.051 0.090
K 0.385 0.282 0.407
K 0.615 0.718 0.593
K 0.632 0.949 0.910
K 0.683 0.632 0.090
K 0.718 0.104 0.407
K 0.896 0.615 0.407
K 0.949 0.317 0.090
Pu 0.333 0.667 0.274
Pu 0.667 0.333 0.726
O 0.000 0.000 0.000
O 0.113 0.377 0.340
O 0.264 0.887 0.340
O 0.333 0.667 0.077
O 0.377 0.264 0.660
O 0.623 0.736 0.340
O 0.667 0.333 0.923
O 0.736 0.113 0.660
O 0.887 0.623 0.660

Largest 10 diffraction maxima, low angle first, 2θ = 15–90°:
- 15.22 deg, I 100
- 22.45 deg, I 19
- 27.23 deg, I 41
- 27.58 deg, I 36
- 27.75 deg, I 66
- 35.57 deg, I 44
- 39.40 deg, I 25
- 39.90 deg, I 31
- 48.56 deg, I 12
- 54.32 deg, I 14



Question: Number 2 is which compound?
Answer: Ce2CoB10